Record 1
This entry pairs a crystal structure of Ba2CoSi2O7 with its computed PXRD pattern. Radiation: λ = 1.5418 Å (Cu Kα). Structure: DFT lattice parameters and positions (GGA+U).

Largest 6 diffraction maxima, by angle, 10° ≤ 2θ ≤ 80°:
two_theta, intensity
22.16, 18.3
26.90, 36.5
29.00, 100.0
34.08, 22.3
40.88, 24.1
47.91, 19.6

```
Ba2CoSi2O7
1.0
8.3192 0.0000 0.0000
0.0000 8.3192 0.0000
0.0000 0.0000 5.4856
Ba Co Si O
4 2 4 14
direct
0.1658 0.3342 0.4907
0.3342 0.8342 0.5093
0.6658 0.1658 0.5093
0.8342 0.6658 0.4907
0.0000 0.0000 0.0000
0.5000 0.5000 0.0000
0.1363 0.6363 0.9586
0.3637 0.1363 0.0414
0.6363 0.8637 0.0414
0.8637 0.3637 0.9586
0.0000 0.5000 0.8611
0.0781 0.8042 0.8232
0.1391 0.6391 0.2536
0.1958 0.0781 0.1768
0.3042 0.5781 0.8232
0.3609 0.1391 0.7464
0.4219 0.3042 0.1768
0.5000 0.0000 0.1389
0.5781 0.6958 0.1768
0.6391 0.8609 0.7464
0.6958 0.4219 0.8232
0.8042 0.9219 0.1768
0.8609 0.3609 0.2536
0.9219 0.1958 0.8232
```


Record 2
This entry pairs a crystal structure of Ba8Ti3CoSi8O32 with its computed PXRD pattern. Radiation: λ = 1.5418 Å (Cu Kα). Structure: DFT lattice parameters and positions (GGA+U).

Largest 6 diffraction maxima, by angle, 10° ≤ 2θ ≤ 80°:
two_theta, intensity
26.64, 41.3
28.62, 100.0
32.90, 23.8
41.24, 21.0
43.34, 17.8
57.14, 20.2

```
Ba8Ti3CoSi8O32
1.0
12.1734 0.0000 0.0000
0.0000 12.1734 0.0000
0.0000 0.0000 5.3221
Ba Ti Co Si O
8 3 1 8 32
direct
0.0770 0.2504 0.0000
0.2499 0.5771 0.0023
0.2504 0.9230 0.0000
0.4229 0.2499 0.0023
0.5771 0.7501 0.0023
0.7496 0.0770 0.0000
0.7501 0.4229 0.0023
0.9230 0.7496 0.0000
0.0000 0.5000 0.5423
0.5000 0.0000 0.5423
0.5000 0.5000 0.5422
0.0000 0.0000 0.5466
0.1209 0.7516 0.5188
0.2484 0.1209 0.5188
0.2499 0.3781 0.5189
0.3781 0.7501 0.5189
0.6219 0.2499 0.5189
0.7501 0.6219 0.5189
0.7516 0.8791 0.5188
0.8791 0.2484 0.5188
0.0000 0.0000 0.2250
0.0000 0.5000 0.2215
0.0634 0.8586 0.6529
0.0644 0.6430 0.6493
0.1232 0.7514 0.2175
0.1414 0.0634 0.6529
0.1423 0.4356 0.6503
0.2486 0.1232 0.2175
0.2497 0.2496 0.6353
0.2501 0.3763 0.2177
0.2496 0.7503 0.6353
0.3570 0.0644 0.6493
0.3576 0.4355 0.6503
0.3763 0.7499 0.2177
0.4355 0.6424 0.6503
0.4356 0.8577 0.6503
0.5000 0.0000 0.2215
0.5000 0.5000 0.2215
0.5644 0.1423 0.6503
0.5645 0.3576 0.6503
0.6237 0.2501 0.2177
0.6424 0.5645 0.6503
0.6430 0.9356 0.6493
0.7504 0.2497 0.6353
0.7499 0.6237 0.2177
0.7503 0.7504 0.6353
0.7514 0.8768 0.2175
0.8577 0.5644 0.6503
0.8586 0.9366 0.6529
0.8768 0.2486 0.2175
0.9356 0.3570 0.6493
0.9366 0.1414 0.6529
```


Record 3
This entry pairs a crystal structure of Ba6ZnCo5Si6O24 with its computed PXRD pattern. Radiation: λ = 1.5418 Å (Cu Kα). Structure: DFT lattice parameters and positions (GGA+U).

Largest 6 diffraction maxima, by angle, 10° ≤ 2θ ≤ 80°:
two_theta, intensity
19.23, 23.5
27.95, 100.0
33.63, 50.5
44.28, 26.5
56.73, 25.6
60.14, 13.0

```
Ba6ZnCo5Si6O24
1.0
8.8379 0.0000 0.0000
-0.0028 9.2268 0.0000
-0.0033 -4.6085 7.9987
Ba Zn Co Si O
6 1 5 6 24
direct
0.0000 0.0000 0.0000
0.0073 0.6674 0.3328
0.4801 0.3337 0.6663
0.5001 0.6673 0.3335
0.5077 0.0008 0.9996
0.9801 0.3351 0.6670
0.1959 0.6641 0.9859
0.1937 0.0157 0.6780
0.1938 0.3224 0.3363
0.6938 0.0041 0.3481
0.6940 0.3456 0.9963
0.6940 0.6523 0.6551
0.2974 0.3453 0.0066
0.2970 0.6626 0.6554
0.2970 0.9941 0.3373
0.7972 0.0050 0.6775
0.7971 0.3231 0.3264
0.7970 0.6743 0.9957
0.2053 0.0967 0.5166
0.2054 0.4831 0.5782
0.2065 0.4219 0.9027
0.2390 0.7981 0.2273
0.2399 0.4305 0.2023
0.2401 0.7741 0.5708
0.2794 0.0941 0.2317
0.2791 0.1399 0.9064
0.2786 0.7677 0.8609
0.4762 0.3991 0.0120
0.4760 0.6145 0.6020
0.4759 0.9884 0.3858
0.7053 0.1843 0.7541
0.7053 0.2464 0.4293
0.7051 0.5714 0.8166
0.7400 0.2379 0.1305
0.7396 0.8703 0.1066
0.7402 0.8940 0.7627
0.7792 0.5286 0.4267
0.7793 0.5740 0.1011
0.7792 0.8996 0.4721
0.9762 0.0540 0.7315
0.9761 0.2692 0.3214
0.9759 0.6799 0.9472
```


Record 4
This entry pairs a crystal structure of BaSm2Co2O6 with its computed PXRD pattern. Radiation: λ = 1.5418 Å (Cu Kα). Structure: DFT lattice parameters and positions (GGA+U).

Largest 6 diffraction maxima, by angle, 10° ≤ 2θ ≤ 80°:
two_theta, intensity
31.52, 32.0
31.69, 100.0
31.90, 31.1
45.44, 40.1
56.25, 28.7
56.71, 19.6

```
BaSm2Co2O6
1.0
5.6110 0.0000 0.0000
0.0000 5.6774 0.0000
0.0000 0.0000 19.9821
Ba Sm Co O
4 8 8 24
direct
0.2264 0.2389 0.0000
0.2736 0.7389 0.5000
0.7264 0.2611 0.5000
0.7736 0.7611 0.0000
0.2457 0.7602 0.3151
0.2457 0.7602 0.6849
0.2543 0.2602 0.1849
0.2543 0.2602 0.8151
0.7457 0.7398 0.1849
0.7457 0.7398 0.8151
0.7543 0.2398 0.3151
0.7543 0.2398 0.6849
0.2492 0.7568 0.1005
0.2492 0.7568 0.8995
0.2508 0.2568 0.3995
0.2508 0.2568 0.6005
0.7492 0.7432 0.3995
0.7492 0.7432 0.6005
0.7508 0.2432 0.1005
0.7508 0.2432 0.8995
0.0000 0.0000 0.1244
0.0000 0.0000 0.8756
0.0000 0.5000 0.1100
0.0000 0.5000 0.3847
0.0000 0.5000 0.6153
0.0000 0.5000 0.8900
0.1845 0.1733 0.2919
0.1845 0.1733 0.7081
0.2122 0.2249 0.5000
0.2878 0.7249 0.0000
0.3155 0.6733 0.2081
0.3155 0.6733 0.7919
0.5000 0.0000 0.1153
0.5000 0.0000 0.3900
0.5000 0.0000 0.6100
0.5000 0.0000 0.8847
0.5000 0.5000 0.3756
0.5000 0.5000 0.6244
0.6845 0.3267 0.2081
0.6845 0.3267 0.7919
0.7122 0.2751 0.0000
0.7878 0.7751 0.5000
0.8155 0.8267 0.2919
0.8155 0.8267 0.7081
```


Number 2 is which compound? Ba8Ti3CoSi8O32